Starting from a GGA-PBE-relaxed structure, the powder diffractogram of VInCoNi was calculated for Cu Kα X-rays.

Top 8 peaks for 2θ from 10° to 90°, sorted by position:
- d 3.479, I 13.0
- d 3.013, I 2.4
- d 2.130, I 100.0
- d 1.817, I 6.6
- d 1.506, I 15.4
- d 1.382, I 2.7
- d 1.230, I 30.2
- d 1.160, I 2.1

Cell and atoms:
Unit cell a=4.2604 b=4.2604 c=4.2604 alpha=60.00 beta=60.00 gamma=60.00
Positions (direct):
V 0.0000 0.0000 0.0000
In 0.5000 0.5000 0.5000
Co 0.2500 0.2500 0.2500
Ni 0.7500 0.7500 0.7500